Diffraction record for Li3Cu4SbO8. The powder X-ray diffraction pattern is calculated, not measured: it uses the GGA-PBE geometry in Alexandria and Cu Kα X-rays.
Peak positions follow from Bragg's law for the DFT cell and can differ from measured ones.

Peak list (10 most intense, 2θ from 5° to 70°, most intense first)
- 18.28 deg, d = 4.854 Å, intensity 100
- 43.92 deg, d = 2.061 Å, intensity 86
- 37.66 deg, d = 2.389 Å, intensity 59
- 17.72 deg, d = 5.006 Å, intensity 48
- 35.87 deg, d = 2.503 Å, intensity 48
- 35.34 deg, d = 2.540 Å, intensity 33
- 58.19 deg, d = 1.585 Å, intensity 32
- 35.55 deg, d = 2.525 Å, intensity 29
- 37.04 deg, d = 2.427 Å, intensity 24
- 60.22 deg, d = 1.537 Å, intensity 24

```
Li3Cu4SbO8
1.0
5.479 -2.939 0.000
5.479 2.939 0.000
-2.835 0.000 5.048
Li Cu Sb O
3 4 1 8
Direct
0.000 0.000 0.000 Li
0.000 0.500 0.500 Li
0.500 0.000 0.500 Li
0.000 0.000 0.500 Cu
0.000 0.500 0.000 Cu
0.500 0.000 0.000 Cu
0.500 0.500 0.000 Cu
0.500 0.500 0.500 Sb
0.204 0.204 0.740 O
0.244 0.704 0.732 O
0.288 0.288 0.266 O
0.296 0.756 0.268 O
0.704 0.244 0.732 O
0.712 0.712 0.734 O
0.756 0.296 0.268 O
0.796 0.796 0.260 O
```

Diffraction record for Li5Cu3Sb2O10. The powder X-ray diffraction pattern is calculated, not measured: it uses the GGA-PBE geometry in Alexandria and Cu Kα X-rays.
Peak positions follow from Bragg's law for the DFT cell and can differ from measured ones.

Peak list (10 most intense, 2θ from 5° to 70°, most intense first)
- 17.84 deg, d = 4.971 Å, intensity 100
- 37.37 deg, d = 2.406 Å, intensity 57
- 18.41 deg, d = 4.820 Å, intensity 54
- 35.56 deg, d = 2.524 Å, intensity 53
- 43.45 deg, d = 2.083 Å, intensity 45
- 43.75 deg, d = 2.069 Å, intensity 39
- 20.67 deg, d = 4.296 Å, intensity 36
- 23.99 deg, d = 3.710 Å, intensity 26
- 36.02 deg, d = 2.494 Å, intensity 24
- 31.56 deg, d = 2.834 Å, intensity 21

```
Li5Cu3Sb2O10
1.0
5.283 0.000 0.000
-1.423 5.410 0.000
-2.030 -2.293 7.257
Li Cu Sb O
5 3 2 10
Direct
0.000 0.000 0.000 Li
0.085 0.199 0.693 Li
0.277 0.614 0.121 Li
0.723 0.386 0.879 Li
0.915 0.801 0.307 Li
0.212 0.386 0.399 Cu
0.500 0.000 0.500 Cu
0.788 0.614 0.601 Cu
0.388 0.806 0.800 Sb
0.612 0.194 0.200 Sb
0.051 0.614 0.842 O
0.140 0.835 0.572 O
0.289 0.976 0.250 O
0.361 0.158 0.946 O
0.441 0.477 0.674 O
0.559 0.523 0.326 O
0.639 0.842 0.054 O
0.711 0.024 0.750 O
0.860 0.165 0.428 O
0.949 0.386 0.158 O
```